Calculated PXRD pattern
Compound: Ca2AlRu
Radiation: CuKα
Structure: a PBE-relaxed structure
Lines closer than 0.1° are merged.

The 12 most intense peaks (10 to 90 degrees two-theta), by angle:
10.54°, rel. 100; 26.27°, rel. 14; 28.38°, rel. 25; 32.00°, rel. 17; 33.98°, rel. 52; 37.49°, rel. 43; 39.06°, rel. 17; 41.86°, rel. 36; 50.10°, rel. 18; 54.07°, rel. 14; 65.42°, rel. 14; 70.63°, rel. 14

Cell and atoms:
```
4
Lattice="3.3923 0.0000 0.0000 0.0000 3.3923 0.0000 0.0000 0.0000 8.3914" Properties=species:S:1:pos:R:3 pbc="T T T"
Ca 0.0000 0.0000 0.0000
Ca 1.6962 1.6962 3.3248
Al 1.6962 1.6962 6.2648
Ru 0.0000 0.0000 5.3807
```

Calculated PXRD pattern
Compound: CrCo6Ni8
Radiation: CuKα
Structure: a PBE-relaxed structure
Lines closer than 0.1° are merged.

The 12 most intense peaks (10 to 90 degrees two-theta), by angle:
33.82°, rel. 9; 40.08°, rel. 8; 42.17°, rel. 100; 44.59°, rel. 31; 44.90°, rel. 9; 49.82°, rel. 73; 55.20°, rel. 11; 57.37°, rel. 13; 71.37°, rel. 15; 74.85°, rel. 17; 86.52°, rel. 9; 88.19°, rel. 11

Cell and atoms:
```
15
Lattice="3.4966 2.0188 4.0638 -3.4966 2.0188 4.0638 0.0000 -4.0376 4.0638" Properties=species:S:1:pos:R:3 pbc="T T T"
Cr 0.0000 0.0000 0.0000
Co -0.8576 -1.1148 5.0199
Co -1.3943 0.1853 7.1714
Co -0.5367 1.3001 5.0199
Co 0.5367 -1.3001 7.1714
Co 1.3943 -0.1853 5.0199
Co 0.8576 1.1148 7.1714
Ni -2.8047 0.2848 5.2075
Ni -1.6490 -2.2865 6.9839
Ni 0.0000 0.0000 2.8942
Ni 1.1557 -2.5713 5.2075
Ni -1.1557 2.5713 6.9838
Ni 0.0000 0.0000 9.2971
Ni 1.6490 2.2865 5.2075
Ni 2.8046 -0.2848 6.9839
```

Calculated PXRD pattern
Compound: AcEr4Tm6
Radiation: CuKα
Structure: a PBE-relaxed structure
Lines closer than 0.1° are merged.

The 12 most intense peaks (10 to 90 degrees two-theta), by angle:
30.74°, rel. 98; 31.62°, rel. 51; 31.77°, rel. 100; 33.72°, rel. 40; 44.71°, rel. 25; 44.85°, rel. 10; 46.92°, rel. 10; 55.76°, rel. 12; 55.96°, rel. 25; 56.41°, rel. 20; 60.81°, rel. 19; 66.37°, rel. 12

Cell and atoms:
```
22
Lattice="2.8296 -4.8716 0.0000 2.8296 4.8716 0.0000 0.0000 0.0000 25.3373" Properties=species:S:1:pos:R:3 pbc="T T T"
Ac 2.8296 3.1954 19.0030
Ac 2.8296 -3.1954 6.3343
Er 2.8296 3.2621 1.0398
Er 2.8296 3.2621 11.6288
Er 2.8296 0.0512 3.0918
Er 2.8296 0.0512 9.5769
Er 2.8296 -0.0512 15.7604
Er 2.8296 -0.0512 22.2455
Er 2.8296 -3.2621 13.7084
Er 2.8296 -3.2621 24.2975
Tm 2.8296 3.2984 4.5340
Tm 2.8296 3.2984 8.1346
Tm 2.8296 3.2075 15.1693
Tm 2.8296 3.2075 22.8366
Tm 2.8296 0.0587 6.3343
Tm 2.8296 0.0000 0.0000
Tm 2.8296 0.0000 12.6686
Tm 2.8296 -0.0587 19.0030
Tm 2.8296 -3.2075 2.5007
Tm 2.8296 -3.2075 10.1679
Tm 2.8296 -3.2984 17.2026
Tm 2.8296 -3.2984 20.8033
```

Calculated PXRD pattern
Compound: La6Mg3Hg
Radiation: CuKα
Structure: a PBE-relaxed structure
Lines closer than 0.1° are merged.

The 12 most intense peaks (10 to 90 degrees two-theta), by angle:
21.86°, rel. 18; 27.78°, rel. 8; 30.33°, rel. 20; 31.73°, rel. 30; 32.06°, rel. 100; 34.33°, rel. 13; 44.46°, rel. 14; 47.46°, rel. 9; 54.99°, rel. 7; 56.73°, rel. 20; 58.22°, rel. 13; 67.06°, rel. 8

Cell and atoms:
```
20
Lattice="9.6630 0.0000 0.0000 0.0000 5.6408 0.0000 -4.1447 0.0000 11.6853" Properties=species:S:1:pos:R:3 pbc="T T T"
La -1.2944 1.4102 4.8362
La 0.8754 4.2306 2.0638
La 2.3827 1.4102 0.0038
La 0.0364 4.2306 9.3210
La 2.0319 1.4102 4.0933
La 1.4527 1.4102 7.4232
La 4.0656 4.2306 4.2620
La 3.4863 4.2306 7.5919
La 5.4819 1.4102 2.3642
La 3.1356 4.2306 11.6815
La 4.6429 1.4102 9.6215
La 6.8127 4.2306 6.8490
Mg -3.2919 4.2306 10.2331
Mg -1.9038 1.4102 8.3384
Mg 0.5602 4.2306 5.6243
Mg 4.9580 1.4102 6.0610
Mg 7.4221 4.2306 3.3469
Mg 8.8102 1.4102 1.4522
Hg 4.0506 4.2306 0.9582
Hg 1.4677 1.4102 10.7270
```

Calculated PXRD pattern
Compound: K3Ta2Ag3Se8
Radiation: CuKα
Structure: a PBE-relaxed structure
Lines closer than 0.1° are merged.

The 12 most intense peaks (10 to 90 degrees two-theta), by angle:
12.15°, rel. 24; 13.83°, rel. 100; 15.10°, rel. 50; 15.61°, rel. 26; 15.71°, rel. 37; 26.50°, rel. 24; 29.08°, rel. 29; 32.21°, rel. 20; 35.93°, rel. 21; 40.53°, rel. 25; 40.67°, rel. 33; 43.54°, rel. 21

Cell and atoms:
```
32
Lattice="12.8844 -3.0829 0.0000 12.8844 3.0829 0.0000 -7.0723 0.0000 12.8108" Properties=species:S:1:pos:R:3 pbc="T T T"
K 0.0000 0.0000 0.0000
K -3.5361 0.0000 6.4054
K 1.4532 0.5542 11.4180
K 4.9893 -0.5542 5.0126
K 13.7071 0.5542 7.7981
K 17.2432 -0.5542 1.3927
Ta 8.0545 1.1666 2.8418
Ta 14.1781 1.1666 3.5636
Ta 4.5184 -1.1666 9.2471
Ta 10.6420 -1.1666 9.9690
Ag 4.5568 1.9170 9.1651
Ag 11.1163 1.1727 3.2027
Ag 10.6035 1.9170 10.0511
Ag 8.0929 -1.9170 2.7597
Ag 7.5802 -1.1727 9.6081
Ag 14.1397 -1.9170 3.6457
Se 9.1068 -2.4825 11.3753
Se 9.5896 2.4825 1.4355
Se -0.7191 0.5276 8.6757
Se 12.6430 2.4825 4.9699
Se 2.8171 -0.5276 2.2703
Se 3.1396 0.1570 7.7658
Se 6.6758 -0.1570 1.3604
Se 5.6980 0.2014 10.9093
Se 9.2341 -0.2014 4.5039
Se 9.4623 0.2014 8.3068
Se 12.9985 -0.2014 1.9014
Se 12.0207 0.1570 11.4504
Se 15.5568 -0.1570 5.0450
Se 15.8794 0.5276 10.5405
Se 6.0535 -2.4825 7.8409
Se 19.4155 -0.5276 4.1351
```

Calculated PXRD pattern
Compound: Ac2PmSmHo
Radiation: CuKα
Structure: a PBE-relaxed structure
Lines closer than 0.1° are merged.

The 12 most intense peaks (10 to 90 degrees two-theta), by angle:
18.94°, rel. 13; 27.66°, rel. 100; 28.08°, rel. 22; 30.18°, rel. 12; 31.37°, rel. 16; 32.29°, rel. 17; 33.16°, rel. 16; 35.87°, rel. 18; 38.42°, rel. 17; 43.54°, rel. 14; 48.87°, rel. 17; 53.49°, rel. 13

Cell and atoms:
```
10
Lattice="6.4603 0.0000 0.0000 0.0000 8.8846 0.0000 0.0000 0.0000 6.8062" Properties=species:S:1:pos:R:3 pbc="T T T"
Ac 1.6151 1.8260 1.4239
Ac 1.6151 7.0586 1.4239
Ac 4.8453 1.8260 5.3823
Ac 4.8453 7.0586 5.3823
Pm 1.6151 4.4423 6.2213
Pm 4.8453 4.4423 0.5849
Sm 1.6151 0.0000 4.6309
Sm 4.8453 0.0000 2.1753
Ho 0.0000 4.4423 3.4031
Ho 3.2302 4.4423 3.4031
```

Calculated PXRD pattern
Compound: KZrCo2
Radiation: CuKα
Structure: a PBE-relaxed structure
Lines closer than 0.1° are merged.

The 12 most intense peaks (10 to 90 degrees two-theta), by angle:
11.44°, rel. 100; 22.99°, rel. 9; 35.39°, rel. 34; 35.69°, rel. 33; 38.15°, rel. 51; 39.96°, rel. 19; 44.28°, rel. 16; 44.53°, rel. 15; 54.77°, rel. 11; 54.98°, rel. 11; 66.99°, rel. 9; 67.54°, rel. 9

Cell and atoms:
```
4
Lattice="3.3127 0.0000 0.0000 0.0000 3.3594 0.0000 0.0000 0.0000 7.7356" Properties=species:S:1:pos:R:3 pbc="T T T"
K 0.0000 0.0000 0.0000
Zr 0.0000 0.0000 3.8678
Co 1.6563 1.6797 2.6189
Co 1.6563 1.6797 5.1167
```

Calculated PXRD pattern
Compound: Pr4CdCo2
Radiation: CuKα
Structure: a PBE-relaxed structure
Lines closer than 0.1° are merged.

The 12 most intense peaks (10 to 90 degrees two-theta), by angle:
27.09°, rel. 30; 28.21°, rel. 36; 28.60°, rel. 27; 28.90°, rel. 25; 31.54°, rel. 52; 31.79°, rel. 100; 32.71°, rel. 42; 32.91°, rel. 37; 34.50°, rel. 30; 35.35°, rel. 59; 40.33°, rel. 26; 43.12°, rel. 20

Cell and atoms:
```
14
Lattice="6.9546 0.0000 0.0000 -1.7290 6.8262 0.0000 -2.6114 -3.4117 7.7187" Properties=species:S:1:pos:R:3 pbc="T T T"
Pr 0.0000 0.0000 0.0000
Pr -2.6244 2.9233 4.4916
Pr -1.7604 -0.4905 5.5966
Pr 0.2253 3.4386 1.4689
Pr 0.9945 1.7783 4.4958
Pr 1.8590 -1.6346 5.5971
Pr 3.4777 0.0001 2.3716
Pr 3.7017 3.4417 0.9023
Cd -0.0805 -1.0318 2.9653
Cd -0.9500 2.3807 7.1253
Co -1.2184 1.4245 2.5730
Co -0.3527 -1.9870 7.5172
Co 2.1777 4.2224 3.5876
Co 3.0426 0.8098 6.5042
```

Calculated PXRD pattern
Compound: TmFe8B4
Radiation: CuKα
Structure: a PBE-relaxed structure
Lines closer than 0.1° are merged.

The 12 most intense peaks (10 to 90 degrees two-theta), by angle:
23.16°, rel. 39; 23.32°, rel. 10; 33.10°, rel. 32; 37.01°, rel. 15; 40.79°, rel. 41; 41.08°, rel. 33; 47.41°, rel. 100; 47.69°, rel. 19; 56.47°, rel. 9; 64.44°, rel. 13; 79.39°, rel. 16; 88.18°, rel. 18

Cell and atoms:
```
13
Lattice="-3.8405 3.8405 2.1971 3.8405 -3.8405 2.1971 3.8405 3.8405 -2.1971" Properties=species:S:1:pos:R:3 pbc="T T T"
Tm 0.0000 0.0000 0.0000
Fe 2.6885 0.0000 0.0000
Fe 4.9925 0.0000 0.0000
Fe 3.8405 2.1101 0.0000
Fe 0.0000 2.6885 0.0000
Fe 2.1101 3.8405 0.0000
Fe 1.7304 0.0000 2.1971
Fe 0.0000 4.9925 0.0000
Fe 0.0000 1.7304 2.1971
B 1.9203 1.9203 -1.0986
B 1.9203 -1.9203 1.0986
B -1.9203 1.9203 1.0986
B 1.9203 1.9203 1.0986
```

Calculated PXRD pattern
Compound: Ca4CeNp3N8
Radiation: CuKα
Structure: a PBE-relaxed structure
Lines closer than 0.1° are merged.

The 12 most intense peaks (10 to 90 degrees two-theta), by angle:
15.54°, rel. 100; 29.86°, rel. 58; 31.23°, rel. 94; 31.37°, rel. 32; 36.26°, rel. 97; 39.66°, rel. 26; 47.77°, rel. 24; 52.12°, rel. 34; 52.31°, rel. 32; 54.73°, rel. 25; 62.08°, rel. 43; 65.14°, rel. 17

Cell and atoms:
```
16
Lattice="3.5096 2.0263 5.7026 -3.5096 2.0263 5.7026 0.0000 -4.0525 5.7026" Properties=species:S:1:pos:R:3 pbc="T T T"
Ca 0.0000 0.0000 0.0000
Ca -1.7548 -1.0131 5.7026
Ca -1.7548 1.0131 11.4052
Ca 0.0000 2.0263 5.7026
Ce 0.0000 0.0000 8.5539
Np -3.5096 0.0000 8.5539
Np -1.7548 1.0131 2.8513
Np 1.7548 1.0131 2.8513
N -1.8250 -1.0537 9.7791
N 0.0000 0.0000 4.0908
N 0.0000 -2.1073 7.3287
N -1.8250 1.0537 7.3287
N 1.8250 -1.0537 9.7791
N 0.0000 2.1073 9.7791
N 0.0000 0.0000 13.0170
N 1.8250 1.0537 7.3287
```

Calculated PXRD pattern
Compound: CoHgIr2
Radiation: CuKα
Structure: a PBE-relaxed structure
Lines closer than 0.1° are merged.

The 12 most intense peaks (10 to 90 degrees two-theta), by angle:
34.02°, rel. 23; 34.91°, rel. 16; 39.75°, rel. 100; 45.76°, rel. 39; 47.14°, rel. 9; 58.82°, rel. 15; 66.72°, rel. 13; 67.80°, rel. 13; 69.57°, rel. 14; 77.57°, rel. 7; 80.56°, rel. 26; 85.68°, rel. 7

Cell and atoms:
```
4
Lattice="2.8039 0.0000 0.0000 0.0000 2.8039 0.0000 0.0000 0.0000 7.7113" Properties=species:S:1:pos:R:3 pbc="T T T"
Co 0.0000 0.0000 0.0000
Hg 0.0000 0.0000 3.8556
Ir 1.4019 1.4019 1.6206
Ir 1.4019 1.4019 6.0906
```

Calculated PXRD pattern
Compound: Ac3Zn5Cu6
Radiation: CuKα
Structure: a PBE-relaxed structure
Lines closer than 0.1° are merged.

The 12 most intense peaks (10 to 90 degrees two-theta), by angle:
22.38°, rel. 59; 28.94°, rel. 48; 33.13°, rel. 19; 34.55°, rel. 86; 34.74°, rel. 100; 35.55°, rel. 17; 37.43°, rel. 34; 40.18°, rel. 21; 41.38°, rel. 54; 55.10°, rel. 34; 56.95°, rel. 22; 65.68°, rel. 20

Cell and atoms:
```
14
Lattice="-2.1828 4.8054 6.5412 2.1828 -4.8054 6.5412 2.1828 4.8054 -6.5412" Properties=species:S:1:pos:R:3 pbc="T T T"
Ac 0.0000 0.0000 0.0000
Ac 0.0000 0.0000 4.0334
Ac 0.0000 0.0000 9.0489
Zn 2.1828 -1.5313 2.2218
Zn 2.1828 1.5313 2.2218
Zn 0.0000 4.8054 0.0000
Zn 0.0000 3.2742 4.3193
Zn 0.0000 6.3367 4.3193
Cu 2.1828 -2.0908 5.0709
Cu 2.1828 2.8168 0.0000
Cu 0.0000 2.7146 1.4702
Cu 2.1828 2.0908 5.0709
Cu 0.0000 1.9887 6.5412
Cu 0.0000 6.8963 1.4702
```